For Cs2Na2CdP2, a DFT-relaxed cell (GGA-PBE, OQMD) gives the computed PXRD pattern in this record (Cu Kα, 1.54184 Å).

Cell and atoms:
```
data_Cs2Na2CdP2
_chemical_formula_sum 'Cs6 Na6 Cd3 P6'
_cell_length_a 5.3068
_cell_length_b 5.3068
_cell_length_c 30.6357
_cell_angle_alpha 90.00
_cell_angle_beta 90.00
_cell_angle_gamma 120.00
_space_group_name_H-M_alt 'R -3 m'
_space_group_IT_number 166
_space_group_name_Hall '-R 3 2"'
loop_
_atom_site_label
_atom_site_fract_x
_atom_site_fract_y
_atom_site_fract_z
_atom_site_occupancy
Cs1 0.0000 0.0000 0.2056 1
Na1 0.0000 0.0000 0.3886 1
Cd1 0.0000 0.0000 0.0000 1
P1 0.0000 0.0000 0.0785 1
```

Most intense lines, 15° ≤ 2θ ≤ 90°, sorted by position:
d_spacing, two_theta, I_rel, h k l
4.545, 19.53, 53, 1 0 1
3.941, 22.56, 22, 1 0 4
3.677, 24.21, 100, 0 1 5
3.169, 28.16, 19, 1 0 7
2.653, 33.78, 74, 1 1 0
2.549, 35.21, 48, 1 0 10
2.152, 41.99, 23, 2 0 5
2.093, 43.22, 14, 1 1 9
1.838, 49.59, 20, 0 2 10
1.671, 54.94, 21, 1 2 5
1.618, 56.89, 20, 1 1 15
1.511, 61.35, 18, 2 1 10